Entry 1:
This entry pairs a crystal structure of NdErGa4 with its theoretical powder diffractogram. Radiation: λ = 1.5418 Å (Cu Kα). Structure: a cell relaxed with PBE.
Peak positions follow from Bragg's law for the DFT cell and can differ from measured ones.

Atomic structure:
a = 7.960 Å, b = 7.960 Å, c = 7.960 Å
α = 149.36°, β = 149.36°, γ = 43.87°
Positions (direct):
Nd1 0.000 0.000 0.000
Er1 0.750 0.250 0.500
Ga1 0.168 0.668 0.500
Ga2 0.332 0.832 0.500
Ga3 0.416 0.416 0.000
Ga4 0.584 0.584 0.000

Most intense lines, 2θ = 10–90°, by angle:
2θ 27.90, intensity 33
2θ 32.46, intensity 100
2θ 37.20, intensity 52
2θ 43.01, intensity 40
2θ 48.26, intensity 25
2θ 58.15, intensity 28
2θ 66.61, intensity 19
2θ 72.17, intensity 20



Entry 2:
This entry pairs a crystal structure of Cs5Br2ClO with its theoretical powder diffractogram. Radiation: λ = 1.5418 Å (Cu Kα). Structure: a cell relaxed with PBE.
Peak positions follow from Bragg's law for the DFT cell and can differ from measured ones.

Atomic structure:
a = 10.100 Å, b = 10.100 Å, c = 10.100 Å
α = 147.11°, β = 132.07°, γ = 59.35°
Positions (direct):
Cs1 0.000 0.000 0.000
Cs2 0.126 0.381 0.745
Cs3 0.363 0.619 0.745
Cs4 0.637 0.381 0.255
Cs5 0.874 0.619 0.255
Br1 0.204 0.204 0.000
Br2 0.796 0.796 0.000
Cl1 0.500 0.000 0.500
O1 0.000 0.500 0.500

Most intense lines, 2θ = 10–90°, by angle:
2θ 11.91, intensity 22
2θ 21.73, intensity 26
2θ 27.23, intensity 74
2θ 29.84, intensity 100
2θ 31.28, intensity 29
2θ 43.76, intensity 35
2θ 54.22, intensity 17
2θ 54.52, intensity 16



Entry 3:
This entry pairs a crystal structure of Dy5Tm6Mg2 with its theoretical powder diffractogram. Radiation: λ = 1.5418 Å (Cu Kα). Structure: a cell relaxed with PBE.
Peak positions follow from Bragg's law for the DFT cell and can differ from measured ones.

Atomic structure:
a = 10.247 Å, b = 22.180 Å, c = 3.522 Å
α = 90.00°, β = 90.00°, γ = 90.00°
Positions (direct):
Dy1 0.000 0.000 0.000
Dy2 0.078 0.252 0.000
Dy3 0.166 0.507 0.000
Dy4 0.334 0.007 0.000
Dy5 0.422 0.752 0.000
Dy6 0.500 0.500 0.000
Dy7 0.578 0.248 0.000
Dy8 0.666 0.993 0.000
Dy9 0.834 0.493 0.000
Dy10 0.922 0.748 0.000
Tm1 0.022 0.388 0.500
Tm2 0.142 0.118 0.500
Tm3 0.169 0.865 0.000
Tm4 0.331 0.365 0.000
Tm5 0.358 0.618 0.500
Tm6 0.478 0.888 0.500
Tm7 0.522 0.112 0.500
Tm8 0.642 0.382 0.500
Tm9 0.669 0.635 0.000
Tm10 0.831 0.135 0.000
Tm11 0.858 0.882 0.500
Tm12 0.978 0.612 0.500
Mg1 0.171 0.737 0.500
Mg2 0.329 0.237 0.500
Mg3 0.671 0.763 0.500
Mg4 0.829 0.263 0.500

Most intense lines, 2θ = 10–90°, by angle:
2θ 27.97, intensity 27
2θ 28.79, intensity 60
2θ 30.06, intensity 53
2θ 32.29, intensity 55
2θ 33.13, intensity 100
2θ 36.88, intensity 28
2θ 37.01, intensity 27
2θ 52.67, intensity 24



Entry 4:
This entry pairs a crystal structure of LaTm2Cu9 with its theoretical powder diffractogram. Radiation: λ = 1.5418 Å (Cu Kα). Structure: a cell relaxed with PBE.
Peak positions follow from Bragg's law for the DFT cell and can differ from measured ones.

Atomic structure:
a = 5.268 Å, b = 5.268 Å, c = 16.284 Å
α = 90.00°, β = 90.00°, γ = 120.00°
Positions (direct):
La1 0.333 0.667 0.250
La2 0.667 0.333 0.750
Tm1 0.333 0.667 0.033
Tm2 0.333 0.667 0.467
Tm3 0.667 0.333 0.533
Tm4 0.667 0.333 0.967
Cu1 0.000 0.000 0.000
Cu2 0.000 0.000 0.250
Cu3 0.000 0.000 0.500
Cu4 0.000 0.000 0.750
Cu5 0.167 0.335 0.624
Cu6 0.167 0.335 0.876
Cu7 0.167 0.833 0.624
Cu8 0.167 0.833 0.876
Cu9 0.333 0.667 0.750
Cu10 0.335 0.167 0.124
Cu11 0.335 0.167 0.376
Cu12 0.665 0.833 0.624
Cu13 0.665 0.833 0.876
Cu14 0.667 0.333 0.250
Cu15 0.833 0.167 0.124
Cu16 0.833 0.167 0.376
Cu17 0.833 0.665 0.124
Cu18 0.833 0.665 0.376

Most intense lines, 2θ = 10–90°, by angle:
2θ 33.82, intensity 51
2θ 34.04, intensity 48
2θ 39.91, intensity 29
2θ 40.80, intensity 100
2θ 43.01, intensity 23
2θ 60.78, intensity 19
2θ 65.53, intensity 23
2θ 71.66, intensity 22